Theoretical XRD peak list of VSnO3 for CuKα, from a cell relaxed with PBE+U.

Cell and atoms:
```
data_VSnO3
_chemical_formula_sum 'V4 Sn4 O12'
_cell_length_a 5.6290
_cell_length_b 7.8546
_cell_length_c 5.4178
_cell_angle_alpha 90.00
_cell_angle_beta 90.00
_cell_angle_gamma 90.00
_space_group_name_H-M_alt 'P 1'
_space_group_IT_number 1
loop_
_space_group_symop_operation_xyz
'x,y,z'
loop_
_atom_site_label
_atom_site_type_symbol
_atom_site_fract_x
_atom_site_fract_y
_atom_site_fract_z
_atom_site_occupancy
V1 V 0.0470 0.2500 0.0087 1
V2 V 0.4530 0.7500 0.5087 1
V3 V 0.5470 0.2500 0.4913 1
V4 V 0.9530 0.7500 0.9913 1
Sn1 Sn 0.0000 0.0000 0.5000 1
Sn2 Sn 0.0000 0.5000 0.5000 1
Sn3 Sn 0.5000 0.0000 0.0000 1
Sn4 Sn 0.5000 0.5000 0.0000 1
O1 O 0.0736 0.7500 0.3641 1
O2 O 0.1868 0.5706 0.8216 1
O3 O 0.1868 0.9294 0.8216 1
O4 O 0.3132 0.0706 0.3216 1
O5 O 0.3132 0.4294 0.3216 1
O6 O 0.4264 0.2500 0.8641 1
O7 O 0.5736 0.7500 0.1359 1
O8 O 0.6868 0.5706 0.6784 1
O9 O 0.6868 0.9294 0.6784 1
O10 O 0.8132 0.0706 0.1784 1
O11 O 0.8132 0.4294 0.1784 1
O12 O 0.9264 0.2500 0.6359 1
```

Peak list (8 most intense, 2θ from 15° to 90°, sorted by position)
d [Å]  I (rel.)  hkl
3.927  14  0 2 0
3.904  28  1 0 1
2.815  24  2 0 0
2.769  100  1 2 1
2.709  21  0 0 2
1.952  23  2 0 2
1.616  21  3 2 1
1.575  26  1 2 3